No. 1
Diffraction record for Mg3Si4. The PXRD pattern is theoretical, not measured: it uses a DFT-relaxed cell (PBE, the Materials Project) and a wavelength of 1.5418 Å.

Largest 12 diffraction maxima, by angle, 10° ≤ 2θ ≤ 80°:
2θ (°)	I/Imax	index
32.42	48	2 2 1
33.14	27	2 2 0
34.99	100	-2 1 2
35.10	38	0 2 4
35.40	35	1 -1 3
35.60	43	1 2 4
35.71	62	2 -1 1
38.66	41	0 3 1
41.69	25	3 0 0
42.07	55	1 0 -5
43.54	54	2 3 3
44.51	27	-1 3 2

Structural model:
Cell: 6.726 7.264 11.763 Å, 72.79 87.68 75.24°
Space group P1 (No. 1)
Symmetry-distinct sites (fractional):
Mg (0.000, 0.000, 0.000) (multiplicity 1)
Mg (0.011, 0.751, 0.597) (multiplicity 1)
Mg (0.031, 0.426, 0.296) (multiplicity 1)
Mg (0.166, 0.815, 0.294) (multiplicity 1)
Mg (0.214, 0.091, 0.670) (multiplicity 1)
Mg (0.285, 0.250, 0.095) (multiplicity 1)
Mg (0.501, 0.733, 0.550) (multiplicity 1)
Mg (0.522, 0.392, 0.291) (multiplicity 1)
Mg (0.538, 0.022, 0.925) (multiplicity 1)
Mg (0.680, 0.173, 0.575) (multiplicity 1)
Mg (0.763, 0.408, 0.772) (multiplicity 1)
Mg (0.871, 0.602, 0.017) (multiplicity 1)
Si (0.153, 0.288, 0.857) (multiplicity 1)
Si (0.179, 0.046, 0.448) (multiplicity 1)
Si (0.196, 0.611, 0.830) (multiplicity 1)
Si (0.248, 0.646, 0.116) (multiplicity 1)
Si (0.271, 0.450, 0.499) (multiplicity 1)
Si (0.379, 0.404, 0.703) (multiplicity 1)
Si (0.456, 0.016, 0.314) (multiplicity 1)
Si (0.469, 0.636, 0.942) (multiplicity 1)
Si (0.551, 0.788, 0.172) (multiplicity 1)
Si (0.609, 0.816, 0.750) (multiplicity 1)
Si (0.655, 0.291, 0.014) (multiplicity 1)
Si (0.769, 0.744, 0.353) (multiplicity 1)
Si (0.830, 0.051, 0.376) (multiplicity 1)
Si (0.893, 0.469, 0.526) (multiplicity 1)
Si (0.898, 0.219, 0.169) (multiplicity 1)
Si (0.913, 0.908, 0.794) (multiplicity 1)

=====

No. 2
Diffraction record for Mg5Si6. The PXRD pattern is theoretical, not measured: it uses a DFT-relaxed cell (PBE, the Materials Project) and a wavelength of 1.5418 Å.

Largest 12 diffraction maxima, by angle, 10° ≤ 2θ ≤ 80°:
2θ (°)	I/Imax	index
25.08	32	3 1 0
32.63	92	7 1 0
34.39	34	3 1 2
36.14	100	5 1 -2
37.08	88	5 1 2
39.06	64	9 1 -1
39.87	73	9 1 1
41.81	35	1 1 -3
42.65	29	3 1 -3
44.48	35	11 1 -1
45.15	33	12 0 -2
47.15	92	0 2 0

Structural model:
Cell: 27.375 3.855 7.835 Å, 90.00 92.52 90.00°
Space group Cm (No. 8)
Symmetry-distinct sites (fractional):
Mg (0.000, 0.000, 0.000) (multiplicity 2)
Mg (0.001, 0.000, 0.440) (multiplicity 2)
Mg (0.105, 0.500, 0.523) (multiplicity 2)
Mg (0.110, 0.500, 0.950) (multiplicity 2)
Mg (0.201, 0.000, 0.057) (multiplicity 2)
Mg (0.226, 0.500, 0.737) (multiplicity 2)
Mg (0.236, 0.500, 0.352) (multiplicity 2)
Mg (0.355, 0.500, 0.809) (multiplicity 2)
Mg (0.388, 0.500, 0.169) (multiplicity 2)
Mg (0.412, 0.000, 0.524) (multiplicity 2)
Si (0.050, 0.500, 0.227) (multiplicity 2)
Si (0.059, 0.000, 0.733) (multiplicity 2)
Si (0.109, 0.000, 0.222) (multiplicity 2)
Si (0.151, 0.000, 0.736) (multiplicity 2)
Si (0.174, 0.000, 0.443) (multiplicity 2)
Si (0.281, 0.500, 0.050) (multiplicity 2)
Si (0.291, 0.000, 0.541) (multiplicity 2)
Si (0.310, 0.000, 0.228) (multiplicity 2)
Si (0.344, 0.500, 0.471) (multiplicity 2)
Si (0.426, 0.000, 0.915) (multiplicity 2)
Si (0.461, 0.000, 0.212) (multiplicity 2)
Si (0.496, 0.000, 0.723) (multiplicity 2)

=====

No. 3
Diffraction record for Mg4Si3. The PXRD pattern is theoretical, not measured: it uses a DFT-relaxed cell (PBE, the Materials Project) and a wavelength of 1.5418 Å.

Largest 12 diffraction maxima, by angle, 10° ≤ 2θ ≤ 80°:
2θ (°)	I/Imax	index
32.32	38	2 1 2
33.04	70	2 -1 1
33.26	34	1 1 -1
34.11	93	-1 1 2
34.59	52	1 2 0
35.97	32	-1 2 2
36.98	31	2 2 2
38.45	96	2 -2 0
38.97	32	0 3 2
43.34	35	-1 3 2
43.44	49	1 0 3
44.28	100	3 0 0

Structural model:
Cell: 6.558 7.106 7.185 Å, 60.50 71.04 87.63°
Space group P1 (No. 1)
Symmetry-distinct sites (fractional):
Mg (0.000, 0.000, 0.000) (multiplicity 1)
Mg (0.001, 0.494, 0.284) (multiplicity 1)
Mg (0.038, 0.754, 0.506) (multiplicity 1)
Mg (0.328, 0.204, 0.147) (multiplicity 1)
Mg (0.334, 0.766, 0.757) (multiplicity 1)
Mg (0.349, 0.374, 0.540) (multiplicity 1)
Mg (0.697, 0.639, 0.012) (multiplicity 1)
Mg (0.717, 0.123, 0.350) (multiplicity 1)
Si (0.016, 0.078, 0.592) (multiplicity 1)
Si (0.026, 0.411, 0.918) (multiplicity 1)
Si (0.344, 0.811, 0.122) (multiplicity 1)
Si (0.623, 0.099, 0.771) (multiplicity 1)
Si (0.662, 0.712, 0.401) (multiplicity 1)
Si (0.693, 0.434, 0.774) (multiplicity 1)

=====

No. 4
Diffraction record for Mg4Si3. The PXRD pattern is theoretical, not measured: it uses a DFT-relaxed cell (PBE, the Materials Project) and a wavelength of 1.5418 Å.

Largest 12 diffraction maxima, by angle, 10° ≤ 2θ ≤ 80°:
2θ (°)	I/Imax	index
29.81	62	1 1 -1
31.41	51	2 1 0
33.72	65	-1 2 1
34.36	100	2 -1 1
34.52	84	2 2 2
36.38	98	1 1 3
37.13	78	0 2 -1
39.84	74	-1 2 2
40.36	76	1 0 3
40.96	49	3 0 1
42.99	50	2 0 3
44.20	60	0 3 0

Structural model:
Cell: 6.784 6.825 7.426 Å, 64.49 66.66 77.08°
Space group P1 (No. 1)
Symmetry-distinct sites (fractional):
Mg (0.000, 0.000, 0.000) (multiplicity 1)
Mg (0.007, 0.786, 0.674) (multiplicity 1)
Mg (0.070, 0.484, 0.225) (multiplicity 1)
Mg (0.326, 0.358, 0.787) (multiplicity 1)
Mg (0.344, 0.136, 0.506) (multiplicity 1)
Mg (0.505, 0.831, 0.047) (multiplicity 1)
Mg (0.600, 0.378, 0.010) (multiplicity 1)
Mg (0.677, 0.712, 0.500) (multiplicity 1)
Si (0.220, 0.085, 0.224) (multiplicity 1)
Si (0.320, 0.738, 0.831) (multiplicity 1)
Si (0.625, 0.457, 0.328) (multiplicity 1)
Si (0.741, 0.156, 0.725) (multiplicity 1)
Si (0.830, 0.113, 0.377) (multiplicity 1)
Si (0.989, 0.402, 0.652) (multiplicity 1)

=====

No. 5
Diffraction record for Mg5Si6. The PXRD pattern is theoretical, not measured: it uses a DFT-relaxed cell (PBE, the Materials Project) and a wavelength of 1.5418 Å.

Largest 12 diffraction maxima, by angle, 10° ≤ 2θ ≤ 80°:
2θ (°)	I/Imax	index
32.72	41	1 1 3
34.68	31	1 1 -4
35.49	100	2 1 -2
36.95	40	1 1 4
37.72	70	2 1 2
37.80	19	1 0 -6
38.00	21	2 0 -5
38.24	78	0 1 5
39.22	24	1 1 -5
41.49	19	3 0 -3
42.80	20	3 0 2
45.35	73	0 2 0

Structural model:
Cell: 6.925 4.000 14.663 Å, 90.00 97.00 90.00°
Space group P2_1/m (No. 11)
Symmetry-distinct sites (fractional):
Mg (0.029, 0.250, 0.090) (multiplicity 2)
Mg (0.114, 0.250, 0.758) (multiplicity 2)
Mg (0.216, 0.250, 0.328) (multiplicity 2)
Mg (0.234, 0.750, 0.621) (multiplicity 2)
Mg (0.453, 0.750, 0.829) (multiplicity 2)
Si (0.052, 0.750, 0.445) (multiplicity 2)
Si (0.246, 0.750, 0.193) (multiplicity 2)
Si (0.288, 0.250, 0.942) (multiplicity 2)
Si (0.344, 0.750, 0.043) (multiplicity 2)
Si (0.423, 0.750, 0.460) (multiplicity 2)
Si (0.476, 0.250, 0.692) (multiplicity 2)

=====

No. 6
Diffraction record for Mg2Si3. The PXRD pattern is theoretical, not measured: it uses a DFT-relaxed cell (PBE, the Materials Project) and a wavelength of 1.5418 Å.

Largest 12 diffraction maxima, by angle, 10° ≤ 2θ ≤ 80°:
2θ (°)	I/Imax	index
33.38	11	0 0 3
34.43	14	2 0 -3
38.04	90	1 1 -3
39.35	55	0 2 0
39.65	100	3 1 1
40.73	20	4 0 -2
44.00	12	3 1 -3
54.23	11	2 0 4
57.92	14	4 2 -2
69.03	11	2 2 4
70.48	14	1 3 -3
71.54	20	3 3 1

Structural model:
Cell: 9.321 4.579 8.306 Å, 90.00 104.18 90.00°
Space group C2/m (No. 12)
Symmetry-distinct sites (fractional):
Mg (0.048, 0.000, 0.343) (multiplicity 4)
Mg (0.168, 0.000, 0.040) (multiplicity 4)
Si (0.020, 0.500, 0.856) (multiplicity 4)
Si (0.131, 0.500, 0.587) (multiplicity 4)
Si (0.228, 0.500, 0.322) (multiplicity 4)

=====

No. 7
Diffraction record for Mg2Si3. The PXRD pattern is theoretical, not measured: it uses a DFT-relaxed cell (PBE, the Materials Project) and a wavelength of 1.5418 Å.

Largest 12 diffraction maxima, by angle, 10° ≤ 2θ ≤ 80°:
2θ (°)	I/Imax	index
16.13	30	0 1 -1
28.72	32	1 0 3
32.14	51	0 1 -5
34.47	31	1 -1 4
34.59	27	-1 1 4
35.73	59	1 1 3
36.28	33	1 -2 0
37.35	71	-1 2 1
37.59	35	0 1 5
39.01	100	1 2 -2
39.44	32	-1 2 2
40.90	98	2 0 -3

Structural model:
Cell: 4.662 5.614 14.887 Å, 99.78 97.62 94.49°
Space group P1 (No. 1)
Symmetry-distinct sites (fractional):
Mg (0.000, 0.000, 0.000) (multiplicity 1)
Mg (0.009, 0.844, 0.701) (multiplicity 1)
Mg (0.158, 0.536, 0.049) (multiplicity 1)
Mg (0.393, 0.427, 0.619) (multiplicity 1)
Mg (0.411, 0.655, 0.286) (multiplicity 1)
Mg (0.557, 0.154, 0.777) (multiplicity 1)
Mg (0.800, 0.644, 0.486) (multiplicity 1)
Mg (0.817, 0.348, 0.183) (multiplicity 1)
Si (0.060, 0.441, 0.779) (multiplicity 1)
Si (0.122, 0.360, 0.378) (multiplicity 1)
Si (0.211, 0.971, 0.444) (multiplicity 1)
Si (0.308, 0.087, 0.193) (multiplicity 1)
Si (0.396, 0.820, 0.869) (multiplicity 1)
Si (0.486, 0.923, 0.597) (multiplicity 1)
Si (0.533, 0.236, 0.974) (multiplicity 1)
Si (0.592, 0.175, 0.361) (multiplicity 1)
Si (0.662, 0.804, 0.128) (multiplicity 1)
Si (0.756, 0.555, 0.902) (multiplicity 1)
Si (0.825, 0.184, 0.521) (multiplicity 1)
Si (0.942, 0.919, 0.280) (multiplicity 1)

=====

No. 8
Diffraction record for Mg4Si3. The PXRD pattern is theoretical, not measured: it uses a DFT-relaxed cell (PBE, the Materials Project) and a wavelength of 1.5418 Å.

Largest 12 diffraction maxima, by angle, 10° ≤ 2θ ≤ 80°:
2θ (°)	I/Imax	index
31.39	28	2 0 -1
31.76	48	-2 1 1
32.72	19	2 -1 0
33.88	100	0 1 -3
35.86	45	1 2 -1
36.23	73	0 2 1
37.69	49	2 1 -2
38.05	39	2 -2 0
40.70	23	2 0 1
42.11	37	-2 1 3
43.05	34	1 1 2
44.30	39	0 3 -2

Structural model:
Cell: 5.840 6.404 8.433 Å, 103.83 108.96 102.26°
Space group P1 (No. 1)
Symmetry-distinct sites (fractional):
Mg (0.000, 0.000, 0.000) (multiplicity 1)
Mg (0.020, 0.481, 0.120) (multiplicity 1)
Mg (0.136, 0.236, 0.697) (multiplicity 1)
Mg (0.296, 0.670, 0.559) (multiplicity 1)
Mg (0.475, 0.975, 0.979) (multiplicity 1)
Mg (0.590, 0.149, 0.650) (multiplicity 1)
Mg (0.681, 0.359, 0.378) (multiplicity 1)
Mg (0.795, 0.839, 0.301) (multiplicity 1)
Si (0.146, 0.230, 0.360) (multiplicity 1)
Si (0.325, 0.925, 0.284) (multiplicity 1)
Si (0.465, 0.407, 0.062) (multiplicity 1)
Si (0.587, 0.592, 0.874) (multiplicity 1)
Si (0.839, 0.808, 0.620) (multiplicity 1)
Si (0.941, 0.573, 0.790) (multiplicity 1)

=====

No. 9
Diffraction record for Mg4Si3. The PXRD pattern is theoretical, not measured: it uses a DFT-relaxed cell (PBE, the Materials Project) and a wavelength of 1.5418 Å.

Largest 12 diffraction maxima, by angle, 10° ≤ 2θ ≤ 80°:
2θ (°)	I/Imax	index
34.37	48	2 2 0
35.14	43	1 2 -3
35.61	53	2 2 2
37.24	48	0 3 1
37.35	83	-1 1 4
38.12	100	2 -1 1
38.26	46	0 3 -1
38.44	88	1 0 5
39.08	20	2 2 -2
43.91	20	1 3 4
44.53	16	0 3 -3
50.71	18	3 1 -2

Structural model:
Cell: 5.860 7.646 12.522 Å, 84.51 83.90 72.67°
Space group P1 (No. 1)
Symmetry-distinct sites (fractional):
Mg (0.000, 0.000, 0.000) (multiplicity 1)
Mg (0.003, 0.323, 0.223) (multiplicity 1)
Mg (0.074, 0.661, 0.385) (multiplicity 1)
Mg (0.133, 0.851, 0.583) (multiplicity 1)
Mg (0.159, 0.134, 0.772) (multiplicity 1)
Mg (0.333, 0.472, 0.759) (multiplicity 1)
Mg (0.390, 0.996, 0.139) (multiplicity 1)
Mg (0.473, 0.316, 0.322) (multiplicity 1)
Mg (0.582, 0.694, 0.303) (multiplicity 1)
Mg (0.585, 0.317, 0.083) (multiplicity 1)
Mg (0.620, 0.851, 0.516) (multiplicity 1)
Mg (0.667, 0.145, 0.651) (multiplicity 1)
Mg (0.758, 0.471, 0.876) (multiplicity 1)
Mg (0.790, 0.660, 0.070) (multiplicity 1)
Mg (0.877, 0.507, 0.639) (multiplicity 1)
Mg (0.938, 0.813, 0.814) (multiplicity 1)
Si (0.169, 0.309, 0.990) (multiplicity 1)
Si (0.222, 0.225, 0.530) (multiplicity 1)
Si (0.242, 0.669, 0.171) (multiplicity 1)
Si (0.259, 0.610, 0.980) (multiplicity 1)
Si (0.281, 0.027, 0.376) (multiplicity 1)
Si (0.419, 0.479, 0.532) (multiplicity 1)
Si (0.482, 0.867, 0.915) (multiplicity 1)
Si (0.486, 0.781, 0.734) (multiplicity 1)
Si (0.595, 0.158, 0.882) (multiplicity 1)
Si (0.825, 0.405, 0.439) (multiplicity 1)
Si (0.854, 0.930, 0.209) (multiplicity 1)
Si (0.868, 0.048, 0.386) (multiplicity 1)

=====

No. 10
Diffraction record for Mg2Si3. The PXRD pattern is theoretical, not measured: it uses a DFT-relaxed cell (PBE, the Materials Project) and a wavelength of 1.5418 Å.

Largest 12 diffraction maxima, by angle, 10° ≤ 2θ ≤ 80°:
2θ (°)	I/Imax	index
16.87	23	0 1 2
29.27	24	0 2 1
31.06	27	1 1 4
31.59	100	1 0 -4
31.82	46	1 -1 2
33.88	42	1 2 2
35.34	25	-1 1 4
38.59	66	0 1 -6
40.53	65	1 2 5
44.95	34	2 1 0
45.13	24	0 3 0
45.60	25	2 0 1

Structural model:
Cell: 4.079 6.221 16.454 Å, 80.56 87.53 78.91°
Space group P-1 (No. 2)
Symmetry-distinct sites (fractional):
Mg (0.042, 0.231, 0.027) (multiplicity 2)
Mg (0.181, 0.233, 0.543) (multiplicity 2)
Mg (0.348, 0.742, 0.778) (multiplicity 2)
Mg (0.392, 0.806, 0.298) (multiplicity 2)
Si (0.054, 0.499, 0.278) (multiplicity 2)
Si (0.135, 0.150, 0.820) (multiplicity 2)
Si (0.224, 0.640, 0.597) (multiplicity 2)
Si (0.350, 0.144, 0.383) (multiplicity 2)
Si (0.374, 0.843, 0.104) (multiplicity 2)
Si (0.450, 0.482, 0.073) (multiplicity 2)

=====

No. 11
Diffraction record for Mg5Si6. The PXRD pattern is theoretical, not measured: it uses a DFT-relaxed cell (PBE, the Materials Project) and a wavelength of 1.5418 Å.

Largest 12 diffraction maxima, by angle, 10° ≤ 2θ ≤ 80°:
2θ (°)	I/Imax	index
11.44	14	2 0 0
33.60	22	3 1 1
36.95	25	5 1 0
37.08	98	5 1 -1
37.29	17	3 1 -2
37.72	100	1 1 2
40.64	23	6 0 1
42.41	26	0 0 3
43.50	31	4 0 -3
46.09	45	0 2 0
65.24	18	4 2 -3
72.45	14	7 1 3

Structural model:
Cell: 15.893 3.939 6.571 Å, 90.00 103.34 90.00°
Space group C2/m (No. 12)
Symmetry-distinct sites (fractional):
Mg (0.000, 0.000, 0.000) (multiplicity 2)
Mg (0.093, 0.000, 0.434) (multiplicity 4)
Mg (0.173, 0.000, 0.951) (multiplicity 4)
Si (0.044, 0.500, 0.697) (multiplicity 4)
Si (0.194, 0.500, 0.272) (multiplicity 4)
Si (0.201, 0.500, 0.660) (multiplicity 4)